For Mn2Zn9Pd, a crystal structure in Alexandria, relaxed with GGA-PBE gives the simulated powder diffractogram in this record (Cu Ka).
Intensities are scaled so that the largest is 100.

Main lines, sorted by position (15° ≤ 2θ ≤ 90°):
2θ 40.4, I = 100.0, (1 1 1)
2θ 40.6, I = 98.6, (1 -2 2)
2θ 46.5, I = 32.6, (0 0 4)
2θ 47.0, I = 31.8, (0 3 -1)
2θ 47.7, I = 30.3, (-2 1 1)
2θ 68.2, I = 19.2, (0 3 -5)

Crystal structure
Cell lengths 3.810, 6.094, 8.270 Å; angles 98.69, 103.30, 107.82 degrees
Space group P-1 (No. 2)
One atom of each set of equivalent atoms:
1 Mn 0.160 0.077 0.242 (multiplicity 2)
2 Zn 0.163 0.328 0.000 (multiplicity 2)
3 Zn 0.167 0.586 0.748 (multiplicity 2)
4 Zn 0.169 0.835 0.505 (multiplicity 2)
5 Zn 0.497 0.250 0.745 (multiplicity 2)
6 Zn 0.500 0.000 0.000 (multiplicity 1)
7 Pd 0.500 0.500 0.500 (multiplicity 1)


For Mn2Zn2Pd7, a crystal structure in Alexandria, relaxed with GGA-PBE gives the simulated powder diffractogram in this record (Cu Ka).
Intensities are scaled so that the largest is 100.

Main lines, sorted by position (15° ≤ 2θ ≤ 90°):
2θ 41.2, I = 23.5, (0 4 0)
2θ 41.8, I = 26.7, (2 0 -2)
2θ 42.0, I = 100.0, (2 2 1)
2θ 60.2, I = 15.2, (2 4 -2)
2θ 75.7, I = 11.8, (2 6 1)
2θ 76.4, I = 16.1, (0 2 3)

Crystal structure
Cell lengths 10.014, 8.756, 4.324 Å; angles 90.00, 115.49, 90.00 degrees
Space group C2/m (No. 12)
One atom of each set of equivalent atoms:
1 Mn 0.000 0.248 0.000 (multiplicity 4)
2 Zn 0.168 0.500 0.167 (multiplicity 4)
3 Pd 0.000 0.500 0.500 (multiplicity 2)
4 Pd 0.158 0.225 0.658 (multiplicity 8)
5 Pd 0.164 0.000 0.165 (multiplicity 4)


For MnZn2Pd6, a crystal structure in Alexandria, relaxed with GGA-PBE gives the simulated powder diffractogram in this record (Cu Ka).
Intensities are scaled so that the largest is 100.

Main lines, sorted by position (15° ≤ 2θ ≤ 90°):
2θ 30.3, I = 19.3, (0 2 0)
2θ 30.5, I = 38.0, (2 0 1)
2θ 43.3, I = 25.3, (2 0 -2)
2θ 43.5, I = 100.0, (2 2 1)
2θ 43.9, I = 24.3, (6 0 0)
2θ 79.5, I = 16.1, (0 2 3)

Crystal structure
Cell lengths 13.055, 5.906, 4.178 Å; angles 90.00, 108.57, 90.00 degrees
Space group C2/m (No. 12)
One atom of each set of equivalent atoms:
1 Mn 0.000 0.000 0.000 (multiplicity 2)
2 Zn 0.167 0.500 0.667 (multiplicity 4)
3 Pd 0.000 0.250 0.500 (multiplicity 4)
4 Pd 0.167 0.252 0.167 (multiplicity 8)


For Mn2ZnPd3, a crystal structure in Alexandria, relaxed with GGA-PBE gives the simulated powder diffractogram in this record (Cu Ka).
Intensities are scaled so that the largest is 100.

Main lines, sorted by position (15° ≤ 2θ ≤ 90°):
2θ 40.4, I = 100.0, (1 3 1)
2θ 43.2, I = 20.5, (2 0 0)
2θ 43.5, I = 20.1, (0 6 0)
2θ 63.0, I = 12.8, (2 6 0)
2θ 77.3, I = 13.7, (3 3 1)
2θ 77.7, I = 13.5, (1 9 1)

Crystal structure
Cell lengths 4.187, 12.490, 3.417 Å; angles 90.00, 90.00, 90.00 degrees
Space group Cmmm (No. 65)
One atom of each set of equivalent atoms:
1 Mn 0.000 0.167 0.000 (multiplicity 4)
2 Zn 0.000 0.500 0.000 (multiplicity 2)
3 Pd 0.000 0.000 0.500 (multiplicity 2)
4 Pd 0.000 0.334 0.500 (multiplicity 4)


For Mn5ZnPd6, a crystal structure in Alexandria, relaxed with GGA-PBE gives the simulated powder diffractogram in this record (Cu Ka).
Intensities are scaled so that the largest is 100.

Main lines, sorted by position (15° ≤ 2θ ≤ 90°):
2θ 40.3, I = 100.0, (1 2 3)
2θ 42.9, I = 41.5, (2 0 0)
2θ 62.3, I = 13.1, (2 0 6)
2θ 71.4, I = 17.1, (2 4 0)
2θ 76.8, I = 13.8, (3 2 3)
2θ 77.0, I = 13.8, (1 2 9)

Crystal structure
Cell lengths 4.217, 6.782, 12.624 Å; angles 90.00, 90.00, 90.00 degrees
Space group Immm (No. 71)
One atom of each set of equivalent atoms:
1 Mn 0.000 0.000 0.000 (multiplicity 2)
2 Mn 0.000 0.000 0.334 (multiplicity 4)
3 Mn 0.000 0.500 0.333 (multiplicity 4)
4 Zn 0.000 0.500 0.000 (multiplicity 2)
5 Pd 0.000 0.250 0.167 (multiplicity 8)
6 Pd 0.000 0.250 0.500 (multiplicity 4)


For ZrMn3Pd6, a crystal structure in Alexandria, relaxed with GGA-PBE gives the simulated powder diffractogram in this record (Cu Ka).
Intensities are scaled so that the largest is 100.

Main lines, sorted by position (15° ≤ 2θ ≤ 90°):
2θ 39.2, I = 98.7, (1 1 3)
2θ 39.3, I = 100.0, (3 1 -1)
2θ 43.4, I = 36.0, (2 0 -4)
2θ 43.8, I = 38.6, (0 2 0)
2θ 49.6, I = 22.5, (4 0 2)
2θ 77.5, I = 25.6, (3 3 -1)

Crystal structure
Cell lengths 8.433, 4.131, 9.135 Å; angles 90.00, 95.68, 90.00 degrees
Space group P2_1/m (No. 11)
One atom of each set of equivalent atoms:
1 Zr 0.064 0.250 0.378 (multiplicity 2)
2 Mn 0.251 0.250 0.022 (multiplicity 2)
3 Mn 0.346 0.750 0.813 (multiplicity 2)
4 Mn 0.447 0.250 0.604 (multiplicity 2)
5 Pd 0.061 0.750 0.909 (multiplicity 2)
6 Pd 0.158 0.250 0.709 (multiplicity 2)
7 Pd 0.159 0.750 0.209 (multiplicity 2)
8 Pd 0.258 0.750 0.516 (multiplicity 2)
9 Pd 0.377 0.250 0.311 (multiplicity 2)
10 Pd 0.463 0.750 0.101 (multiplicity 2)


For PmMn4, a crystal structure in Alexandria, relaxed with GGA-PBE gives the simulated powder diffractogram in this record (Cu Ka).
Intensities are scaled so that the largest is 100.

Main lines, sorted by position (15° ≤ 2θ ≤ 90°):
2θ 18.0, I = 91.9, (1 0 0)
2θ 25.6, I = 79.4, (1 1 0)
2θ 36.5, I = 100.0, (2 0 0)
2θ 41.0, I = 45.4, (2 1 0)
2θ 45.2, I = 34.6, (2 1 1)
2θ 52.6, I = 66.6, (2 2 0)

Crystal structure
Cell lengths 4.918, 4.918, 4.918 Å; angles 90.00, 90.00, 90.00 degrees
Space group Pm-3m (No. 221)
One atom of each set of equivalent atoms:
1 Pm 0.000 0.000 0.000 (multiplicity 1)
2 Mn 0.000 0.000 0.500 (multiplicity 3)
3 Mn 0.500 0.500 0.500 (multiplicity 1)


For Pm2MnSiPt6, a crystal structure in Alexandria, relaxed with GGA-PBE gives the simulated powder diffractogram in this record (Cu Ka).
Intensities are scaled so that the largest is 100.

Main lines, sorted by position (15° ≤ 2θ ≤ 90°):
2θ 28.4, I = 31.4, (1 1 -2)
2θ 28.9, I = 42.0, (0 0 2)
2θ 30.7, I = 38.4, (4 0 -2)
2θ 38.7, I = 100.0, (2 2 0)
2θ 39.3, I = 55.8, (2 2 -2)
2θ 41.6, I = 50.7, (4 0 0)

Crystal structure
Cell lengths 11.667, 5.502, 8.296 Å; angles 90.00, 131.87, 90.00 degrees
Space group C2/m (No. 12)
One atom of each set of equivalent atoms:
1 Pm 0.238 0.000 0.201 (multiplicity 4)
2 Mn 0.000 0.500 0.000 (multiplicity 2)
3 Si 0.000 0.000 0.500 (multiplicity 2)
4 Pt 0.007 0.251 0.746 (multiplicity 8)
5 Pt 0.250 0.000 0.609 (multiplicity 4)


For PmPuMn4, a crystal structure in Alexandria, relaxed with GGA-PBE gives the simulated powder diffractogram in this record (Cu Ka).
Intensities are scaled so that the largest is 100.

Main lines, sorted by position (15° ≤ 2θ ≤ 90°):
2θ 21.4, I = 33.4, (1 1 1)
2θ 35.2, I = 76.8, (2 2 0)
2θ 41.6, I = 100.0, (3 1 1)
2θ 63.2, I = 29.0, (4 2 2)
2θ 67.6, I = 31.0, (3 3 3)
2θ 74.5, I = 21.0, (4 4 0)

Crystal structure
Cell lengths 7.204, 7.204, 7.204 Å; angles 90.00, 90.00, 90.00 degrees
Space group F-43m (No. 216)
One atom of each set of equivalent atoms:
1 Pm 0.000 0.000 0.000 (multiplicity 4)
2 Pu 0.250 0.250 0.750 (multiplicity 4)
3 Mn 0.124 0.124 0.376 (multiplicity 16)


For Rb2Pm2MnS6, a crystal structure in Alexandria, relaxed with GGA-PBE gives the simulated powder diffractogram in this record (Cu Ka).
Intensities are scaled so that the largest is 100.

Main lines, sorted by position (15° ≤ 2θ ≤ 90°):
2θ 22.7, I = 32.1, (0 0 2)
2θ 27.3, I = 31.6, (1 3 -1)
2θ 29.9, I = 48.9, (2 0 -2)
2θ 30.5, I = 100.0, (1 3 1)
2θ 40.5, I = 50.0, (2 0 2)
2θ 45.8, I = 29.4, (3 3 -1)

Crystal structure
Cell lengths 6.899, 11.700, 8.188 Å; angles 90.00, 106.93, 90.00 degrees
Space group C2/m (No. 12)
One atom of each set of equivalent atoms:
1 Rb 0.000 0.173 0.000 (multiplicity 4)
2 Pm 0.000 0.333 0.500 (multiplicity 4)
3 Mn 0.000 0.000 0.500 (multiplicity 2)
4 S 0.211 0.146 0.682 (multiplicity 8)
5 S 0.225 0.000 0.321 (multiplicity 4)


For RbPm2MnSe4, a crystal structure in Alexandria, relaxed with GGA-PBE gives the simulated powder diffractogram in this record (Cu Ka).
Intensities are scaled so that the largest is 100.

Main lines, sorted by position (15° ≤ 2θ ≤ 90°):
2θ 21.7, I = 37.4, (0 2 3)
2θ 28.5, I = 92.3, (1 3 1)
2θ 30.4, I = 100.0, (1 3 2)
2θ 37.7, I = 42.7, (1 1 5)
2θ 41.6, I = 83.5, (1 5 3)
2θ 42.8, I = 41.1, (2 0 0)

Crystal structure
Cell lengths 4.223, 14.725, 14.764 Å; angles 90.00, 90.00, 90.00 degrees
Space group Cmcm (No. 63)
One atom of each set of equivalent atoms:
1 Rb 0.000 0.106 0.250 (multiplicity 4)
2 Pm 0.000 0.368 0.059 (multiplicity 8)
3 Mn 0.000 0.168 0.750 (multiplicity 4)
4 Se 0.000 0.000 0.000 (multiplicity 4)
5 Se 0.000 0.264 0.612 (multiplicity 8)
6 Se 0.000 0.427 0.250 (multiplicity 4)


For PmMnReSi2, a crystal structure in Alexandria, relaxed with GGA-PBE gives the simulated powder diffractogram in this record (Cu Ka).
Intensities are scaled so that the largest is 100.

Main lines, sorted by position (15° ≤ 2θ ≤ 90°):
2θ 23.6, I = 50.2, (1 0 1)
2θ 33.8, I = 38.2, (1 0 3)
2θ 35.8, I = 100.0, (1 1 2)
2θ 45.0, I = 33.8, (2 0 0)
2θ 57.4, I = 35.3, (2 0 4)
2θ 76.9, I = 21.3, (3 1 2)

Crystal structure
Cell lengths 4.033, 4.033, 10.584 Å; angles 90.00, 90.00, 90.00 degrees
Space group I-4m2 (No. 119)
One atom of each set of equivalent atoms:
1 Pm 0.000 0.000 0.000 (multiplicity 2)
2 Mn 0.000 0.500 0.750 (multiplicity 2)
3 Re 0.000 0.500 0.250 (multiplicity 2)
4 Si 0.000 0.000 0.380 (multiplicity 4)


For Pm3MnS6, a crystal structure in Alexandria, relaxed with GGA-PBE gives the simulated powder diffractogram in this record (Cu Ka).
Intensities are scaled so that the largest is 100.

Main lines, sorted by position (15° ≤ 2θ ≤ 90°):
2θ 24.9, I = 100.0, (2 2 1)
2θ 25.3, I = 56.1, (1 3 1)
2θ 37.2, I = 45.1, (3 1 2)
2θ 38.0, I = 28.7, (0 4 2)
2θ 41.8, I = 35.5, (3 5 0)
2θ 48.5, I = 33.6, (5 3 1)

Crystal structure
Cell lengths 10.882, 13.474, 6.672 Å; angles 90.00, 90.00, 90.00 degrees
Space group Cmc2_1 (No. 36)
One atom of each set of equivalent atoms:
1 Pm 0.000 0.102 0.000 (multiplicity 4)
2 Pm 0.183 0.400 0.083 (multiplicity 8)
3 Mn 0.000 0.303 0.623 (multiplicity 4)
4 S 0.000 0.281 0.280 (multiplicity 4)
5 S 0.000 0.460 0.772 (multiplicity 4)
6 S 0.162 0.026 0.292 (multiplicity 8)
7 S 0.163 0.238 0.791 (multiplicity 8)